Record 1
Starting from a PBE+U-relaxed structure, the powder X-ray diffraction pattern of Li4Mn3O7 was computed for Cu Kα X-rays.
No peak broadening, texture or thermal motion is included.

Main lines, low angle first (10° ≤ 2θ ≤ 80°):
13.19°, d 6.711, intensity 7.8, (0 0 2)
18.31°, d 4.846, intensity 100.0, (2 0 1)
34.01°, d 2.636, intensity 17.4, (4 0 -5)
36.13°, d 2.486, intensity 23.2, (1 1 -3)
41.07°, d 2.198, intensity 33.9, (6 0 -4)
44.06°, d 2.055, intensity 56.7, (1 1 4)
47.00°, d 1.933, intensity 9.4, (5 1 -1)
58.10°, d 1.588, intensity 9.5, (3 1 5)
61.45°, d 1.509, intensity 15.8, (5 1 -8)
62.14°, d 1.494, intensity 16.3, (7 1 0)

Structural model:
Cell lengths 13.468, 2.883, 14.758 Å; angles 90.00, 114.81, 90.00 degrees
Space group C2/m (No. 12)
Asymmetric unit:
Li 0.000 0.000 0.000
Li 0.000 0.000 0.500
Li 0.073 0.500 0.357
Li 0.135 0.000 0.209
Li 0.211 0.500 0.069
Mn 0.064 0.500 0.863
Mn 0.141 0.000 0.718
Mn 0.213 0.500 0.572
O 0.005 0.000 0.763
O 0.057 0.500 0.111
O 0.074 0.500 0.620
O 0.137 0.000 0.955
O 0.145 0.000 0.474
O 0.201 0.500 0.818
O 0.220 0.500 0.331

Record 2
Starting from a PBE+U-relaxed structure, the powder X-ray diffraction pattern of Li14Mn2O9 was computed for Cu Kα X-rays.
No peak broadening, texture or thermal motion is included.

Main lines, low angle first (10° ≤ 2θ ≤ 80°):
17.31°, d 5.124, intensity 13.9, (1 0 0)
20.49°, d 4.335, intensity 100.0, (0 1 1)
30.21°, d 2.958, intensity 18.2, (1 1 0)
32.20°, d 2.780, intensity 36.8, (1 1 1)
36.78°, d 2.444, intensity 21.7, (0 2 1)
37.56°, d 2.395, intensity 34.9, (0 1 3)
48.31°, d 1.884, intensity 21.7, (2 1 1)
53.66°, d 1.708, intensity 29.7, (3 0 0)
54.78°, d 1.676, intensity 34.8, (1 1 4)
58.59°, d 1.575, intensity 13.2, (1 2 3)

Structural model:
Cell lengths 5.9166, 5.9166, 8.1328 Å; angles 90.00, 90.00, 120.00 degrees
Space group P-3 (No. 147)
Asymmetric unit:
Li 0.0000 0.0000 0.2397
Li 0.0621 0.3732 0.9148
Li 0.0650 0.7056 0.5955
Mn 0.3333 0.6667 0.2478
O 0.0000 0.0000 0.5000
O 0.0209 0.3309 0.1586
O 0.3333 0.6667 0.4954

Record 3
Starting from a PBE+U-relaxed structure, the powder X-ray diffraction pattern of LiMnPO4 was computed for Cu Kα X-rays.
No peak broadening, texture or thermal motion is included.

Main lines, low angle first (10° ≤ 2θ ≤ 80°):
17.31°, d 5.124, intensity 100.0, (0 1 1)
24.06°, d 3.699, intensity 37.3, (1 1 0)
24.87°, d 3.580, intensity 58.5, (1 1 -2)
29.85°, d 2.993, intensity 73.4, (0 1 3)
30.01°, d 2.978, intensity 24.9, (1 0 2)
34.74°, d 2.583, intensity 38.9, (2 0 -2)
35.11°, d 2.556, intensity 32.6, (1 2 -1)
38.72°, d 2.326, intensity 26.9, (1 2 1)
40.70°, d 2.217, intensity 29.3, (1 1 3)
49.67°, d 1.835, intensity 21.7, (0 3 2)

Structural model:
Cell lengths 5.177, 5.882, 11.354 Å; angles 90.00, 113.24, 90.00 degrees
Space group P2_1/c (No. 14)
Asymmetric unit:
Li 0.242 0.156 0.025
Mn 0.456 0.600 0.171
P 0.142 0.674 0.887
O 0.182 0.205 0.681
O 0.217 0.076 0.428
O 0.242 0.672 0.510
O 0.307 0.735 0.804